For La6Zn2C, the GGA-PBE geometry in Alexandria gives the calculated powder diffractogram in this record (Cu Ka).
Intensities are scaled so that the largest is 100.

Largest 6 diffraction maxima, most intense first, 2θ from 15° to 90°:
2theta  I_rel
29.2  100
28.5  77
30.2  61
32.1  52
31.4  45
33.8  35

Crystal structure
Cell lengths 6.761, 7.488, 12.564 Å; angles 90.00, 122.43, 90.00 degrees
Atoms (fractional coordinates):
La 0.142 0.202 0.460
La 0.142 0.298 0.960
La 0.269 0.680 0.456
La 0.269 0.820 0.956
La 0.339 0.023 0.236
La 0.339 0.477 0.736
La 0.661 0.523 0.264
La 0.661 0.977 0.764
La 0.731 0.180 0.044
La 0.731 0.320 0.544
La 0.858 0.702 0.040
La 0.858 0.798 0.540
Zn 0.183 0.083 0.744
Zn 0.183 0.417 0.244
Zn 0.817 0.583 0.756
Zn 0.817 0.917 0.256
C 0.000 0.000 0.000
C 0.000 0.500 0.500

---

For MnAgPd3Au, the GGA-PBE geometry in Alexandria gives the calculated powder diffractogram in this record (Cu Ka).
Intensities are scaled so that the largest is 100.

Largest 6 diffraction maxima, most intense first, 2θ from 15° to 90°:
2theta  I_rel
39.7  100
39.8  61
43.2  35
43.4  27
38.1  26
76.9  21

Crystal structure
Cell lengths 7.083, 7.083, 9.085 Å; angles 126.70, 126.70, 34.36 degrees
Atoms (fractional coordinates):
Mn 0.137 0.137 0.345
Mn 0.863 0.863 0.655
Ag 0.235 0.235 0.094
Ag 0.765 0.765 0.906
Pd 0.072 0.072 0.694
Pd 0.286 0.286 0.721
Pd 0.392 0.392 0.494
Pd 0.608 0.608 0.506
Pd 0.714 0.714 0.279
Pd 0.928 0.928 0.306
Au 0.458 0.458 0.113
Au 0.542 0.542 0.887

---

For Ag4S2Br, the GGA-PBE geometry in Alexandria gives the calculated powder diffractogram in this record (Cu Ka).
Intensities are scaled so that the largest is 100.

Largest 6 diffraction maxima, most intense first, 2θ from 15° to 90°:
2theta  I_rel
32.6  100
26.1  99
27.2  70
28.9  67
46.0  63
44.3  58

Crystal structure
Cell lengths 3.865, 14.447, 11.891 Å; angles 90.00, 90.00, 90.00 degrees
Atoms (fractional coordinates):
Ag 0.001 0.022 0.119
Ag 0.001 0.022 0.381
Ag 0.001 0.478 0.619
Ag 0.001 0.478 0.881
Ag 0.006 0.650 0.750
Ag 0.006 0.850 0.250
Ag 0.494 0.250 0.000
Ag 0.494 0.250 0.500
Ag 0.506 0.750 0.000
Ag 0.506 0.750 0.500
Ag 0.994 0.150 0.750
Ag 0.994 0.350 0.250
Ag 0.999 0.522 0.119
Ag 0.999 0.522 0.381
Ag 0.999 0.978 0.619
Ag 0.999 0.978 0.881
S 0.006 0.646 0.549
S 0.006 0.646 0.951
S 0.006 0.854 0.049
S 0.006 0.854 0.451
S 0.994 0.146 0.549
S 0.994 0.146 0.951
S 0.994 0.354 0.049
S 0.994 0.354 0.451
Br 0.499 0.617 0.250
Br 0.499 0.883 0.750
Br 0.501 0.117 0.250
Br 0.501 0.383 0.750